[1]
Starting from a crystal structure in Alexandria, relaxed with PBE, the X-ray powder pattern of Cs2TiIBr5 was simulated for Cu Kα (weighted mean of Kα1 and Kα2).

Structural model:
abc: 7.953 7.953 11.102
angles: 90.00 90.00 90.00
Space group I4mm (No. 107)
Unique sites:
Cs: 0.000 0.500 0.000
Ti: 0.000 0.000 0.255
I: 0.000 0.000 0.000
Br: 0.000 0.000 0.482
Br: 0.225 0.225 0.249

The 12 most intense peaks (10° ≤ 2θ ≤ 80°), by angle:
- 2θ = 13.70°, rel. 14, hkl 1 0 1
- 2θ = 22.36°, rel. 6, hkl 2 0 0
- 2θ = 27.59°, rel. 100, hkl 2 0 2
- 2θ = 31.83°, rel. 42, hkl 2 2 0
- 2θ = 32.25°, rel. 22, hkl 0 0 4
- 2θ = 45.63°, rel. 14, hkl 4 0 0
- 2θ = 45.95°, rel. 29, hkl 2 2 4
- 2θ = 54.16°, rel. 25, hkl 4 2 2
- 2θ = 54.72°, rel. 14, hkl 2 0 6
- 2θ = 56.97°, rel. 14, hkl 4 0 4
- 2θ = 73.92°, rel. 10, hkl 4 2 6
- 2θ = 76.56°, rel. 6, hkl 2 2 8

[2]
Starting from a crystal structure in Alexandria, relaxed with PBE, the X-ray powder pattern of CsUI3Br was simulated for Cu Kα (weighted mean of Kα1 and Kα2).

Structural model:
abc: 5.364 8.155 24.600
angles: 90.00 90.00 90.00
Space group Imma (No. 74)
Unique sites:
Cs: 0.000 0.250 0.055
U: 0.000 0.250 0.697
I: 0.000 0.026 0.804
I: 0.000 0.250 0.571
Br: 0.000 0.250 0.360

The 12 most intense peaks (10° ≤ 2θ ≤ 80°), by angle:
- 2θ = 11.43°, rel. 41, hkl 0 1 1
- 2θ = 15.32°, rel. 17, hkl 0 1 3
- 2θ = 21.10°, rel. 25, hkl 1 1 2
- 2θ = 21.80°, rel. 13, hkl 0 2 0
- 2θ = 29.04°, rel. 23, hkl 0 0 8
- 2θ = 29.57°, rel. 100, hkl 1 2 3
- 2θ = 33.06°, rel. 26, hkl 1 2 5
- 2θ = 33.41°, rel. 29, hkl 2 0 0
- 2θ = 34.61°, rel. 16, hkl 0 1 9
- 2θ = 37.78°, rel. 22, hkl 1 3 2
- 2θ = 43.35°, rel. 26, hkl 1 3 6
- 2θ = 44.84°, rel. 14, hkl 2 0 8

[3]
Starting from a crystal structure in Alexandria, relaxed with PBE, the X-ray powder pattern of Cs4InBr7 was simulated for Cu Kα (weighted mean of Kα1 and Kα2).

Structural model:
abc: 15.837 7.383 10.995
angles: 90.00 116.09 90.00
Space group C2 (No. 5)
Unique sites:
Cs: 0.112 0.000 0.298
Cs: 0.150 0.494 0.997
In: 0.000 0.488 0.500
Br: 0.000 0.835 0.500
Br: 0.076 0.494 0.310
Br: 0.123 0.993 0.982
Br: 0.146 0.312 0.665

The 12 most intense peaks (10° ≤ 2θ ≤ 80°), by angle:
- 2θ = 14.63°, rel. 31, hkl 1 1 -1
- 2θ = 18.30°, rel. 61, hkl 2 0 1
- 2θ = 20.70°, rel. 33, hkl 3 1 -1
- 2θ = 24.11°, rel. 86, hkl 0 2 0
- 2θ = 25.04°, rel. 42, hkl 4 0 0
- 2θ = 27.08°, rel. 58, hkl 0 0 3
- 2θ = 27.68°, rel. 100, hkl 4 0 -3
- 2θ = 29.51°, rel. 41, hkl 2 2 -2
- 2θ = 30.23°, rel. 40, hkl 4 0 1
- 2θ = 30.44°, rel. 57, hkl 2 2 1
- 2θ = 37.03°, rel. 47, hkl 4 2 -3
- 2θ = 42.10°, rel. 35, hkl 6 2 -2